Diffraction record for Hg3SbAsS3. The powder diffraction line list is simulated, not measured: it uses DFT lattice parameters and positions (PBE) and Cu Kα (weighted mean of Kα1 and Kα2).
Intensities are scaled so that the largest is 100.

Principal peaks in the range 5° ≤ 2θ ≤ 70°, by intensity:
| two_theta | d/Å | Rel. int. | (hkl) |
| --- | --- | --- | --- |
| 29.63 | 3.015 | 100 | 0 1 4 |
| 24.47 | 3.637 | 89 | 2 1 -2 |
| 29.85 | 2.993 | 59 | 4 0 -4 |
| 26.41 | 3.374 | 36 | 2 0 2 |
| 27.14 | 3.285 | 35 | 2 0 -6 |
| 42.07 | 2.148 | 31 | 4 1 0 |
| 43.05 | 2.101 | 30 | 4 1 -8 |
| 45.28 | 2.003 | 17 | 0 0 8 |
| 9.09 | 9.727 | 15 | 1 0 0 |
| 51.71 | 1.768 | 14 | 2 1 6 |

Structural model:
```
data_Hg3SbAsS3
_chemical_formula_sum 'Hg12 Sb4 As4 S12'
_cell_length_a 11.977
_cell_length_b 4.580
_cell_length_c 19.727
_cell_angle_alpha 90.00
_cell_angle_beta 125.70
_cell_angle_gamma 90.00
_symmetry_space_group_name_H-M 'P 1 21/c 1'
_symmetry_Int_Tables_number 14
_symmetry_space_group_name_Hall '-P 2ybc'
loop_
_atom_site_label
_atom_site_fract_x
_atom_site_fract_y
_atom_site_fract_z
_atom_site_occupancy
Hg1 0.058 0.232 0.424 1
Hg2 0.206 0.721 0.312 1
Hg3 0.299 0.124 0.679 1
Sb1 0.404 0.692 0.550 1
As1 0.098 0.137 0.692 1
S1 0.184 0.603 0.535 1
S2 0.310 0.058 0.431 1
S3 0.489 0.044 0.666 1
```

=====

Diffraction record for NaCN. The powder diffraction line list is simulated, not measured: it uses DFT lattice parameters and positions (PBE) and Cu Kα (weighted mean of Kα1 and Kα2).
Intensities are scaled so that the largest is 100.

Principal peaks in the range 5° ≤ 2θ ≤ 70°, by intensity:
| two_theta | d/Å | Rel. int. | (hkl) |
| --- | --- | --- | --- |
| 30.54 | 2.928 | 100 | 1 0 1 |
| 32.14 | 2.785 | 59 | 0 2 0 |
| 44.92 | 2.018 | 58 | 1 2 1 |
| 47.62 | 1.909 | 15 | 1 1 2 |
| 49.91 | 1.827 | 13 | 2 0 0 |
| 60.62 | 1.528 | 13 | 2 2 0 |
| 36.74 | 2.446 | 10 | 0 0 2 |
| 59.03 | 1.565 | 9 | 0 1 3 |
| 49.61 | 1.838 | 8 | 0 2 2 |
| 68.44 | 1.371 | 4 | 1 3 2 |

Structural model:
```
data_NaCN
_chemical_formula_sum 'Na2 C2 N2'
_cell_length_a 3.654
_cell_length_b 5.569
_cell_length_c 4.892
_cell_angle_alpha 90.00
_cell_angle_beta 90.00
_cell_angle_gamma 90.00
_symmetry_space_group_name_H-M 'P m m n'
_symmetry_Int_Tables_number 59
loop_
_symmetry_equiv_pos_as_xyz
'x,y,z'
'-x,-y,-z'
'-x+1/2,-y+1/2,z'
'x+1/2,y+1/2,-z'
'x+1/2,-y,-z'
'-x+1/2,y,z'
'-x,y+1/2,-z'
'x,-y+1/2,z'
loop_
_atom_site_label
_atom_site_fract_x
_atom_site_fract_y
_atom_site_fract_z
_atom_site_occupancy
Na1 0.250 0.250 0.227 1
C1 0.250 0.750 0.366 1
N1 0.250 0.750 0.125 1
```